Starting from a cell relaxed with GGA-PBE, the X-ray diffraction stick pattern of BaTbTe2AuSe was calculated for Cu Ka.
Intensities are scaled so that the largest is 100.

Structure:
```
data_BaTbTe2AuSe
_chemical_formula_sum 'Ba2 Tb2 Te4 Au2 Se2'
_symmetry_space_group_name_H-M 'P 1'
_symmetry_Int_Tables_number 1
_cell_length_a 7.880
_cell_length_b 7.880
_cell_length_c 10.940
_cell_angle_alpha 90.00
_cell_angle_beta 90.00
_cell_angle_gamma 147.92
loop_
_symmetry_equiv_pos_as_xyz
'x,y,z'
loop_
_atom_site_label
_atom_site_type_symbol
_atom_site_fract_x
_atom_site_fract_y
_atom_site_fract_z
Ba1 Ba 0.240 0.760 0.750
Ba2 Ba 0.760 0.240 0.250
Tb1 Tb 0.500 0.500 0.000
Tb2 Tb 0.500 0.500 0.500
Te1 Te 0.143 0.857 0.051
Te2 Te 0.143 0.857 0.449
Te3 Te 0.857 0.143 0.551
Te4 Te 0.857 0.143 0.949
Au1 Au 0.031 0.969 0.250
Au2 Au 0.969 0.031 0.750
Se1 Se 0.426 0.574 0.250
Se2 Se 0.574 0.426 0.750
```

Most intense lines, 2θ from 5° to 70°, most intense first:
2theta  d [Å]  Rel. int.
31.7  2.824  100.0
28.3  3.157  76.5
11.7  7.573  46.1
32.7  2.735  43.4
39.8  2.264  41.7
27.1  3.293  37.1
41.5  2.177  36.8
50.0  1.823  26.6
28.7  3.113  21.5
53.8  1.703  21.2

Starting from a cell relaxed with GGA-PBE, the X-ray diffraction stick pattern of AlCuNiOs was calculated for Cu Ka.
Intensities are scaled so that the largest is 100.

Structure:
```
data_AlCuNiOs
_chemical_formula_sum 'Al1 Cu1 Ni1 Os1'
_symmetry_space_group_name_H-M 'P 1'
_symmetry_Int_Tables_number 1
_cell_length_a 4.168
_cell_length_b 4.168
_cell_length_c 4.168
_cell_angle_alpha 60.00
_cell_angle_beta 60.00
_cell_angle_gamma 60.00
loop_
_symmetry_equiv_pos_as_xyz
'x,y,z'
loop_
_atom_site_label
_atom_site_type_symbol
_atom_site_fract_x
_atom_site_fract_y
_atom_site_fract_z
Al1 Al 0.000 0.000 0.000
Cu1 Cu 0.250 0.250 0.250
Ni1 Ni 0.500 0.500 0.500
Os1 Os 0.750 0.750 0.750
```

Most intense lines, 2θ from 5° to 70°, most intense first:
2theta  d [Å]  Rel. int.
43.4  2.084  100.0
26.2  3.403  31.7
30.3  2.947  29.1
63.1  1.474  16.1
51.4  1.777  16.0
53.9  1.702  8.0
69.5  1.352  6.8

Starting from a cell relaxed with GGA-PBE, the X-ray diffraction stick pattern of Co9Re4 was calculated for Cu Ka.
Intensities are scaled so that the largest is 100.

Structure:
```
data_Co9Re4
_chemical_formula_sum 'Co9 Re4'
_symmetry_space_group_name_H-M 'P 1'
_symmetry_Int_Tables_number 1
_cell_length_a 8.684
_cell_length_b 8.684
_cell_length_c 8.684
_cell_angle_alpha 30.89
_cell_angle_beta 30.89
_cell_angle_gamma 30.89
loop_
_symmetry_equiv_pos_as_xyz
'x,y,z'
loop_
_atom_site_label
_atom_site_type_symbol
_atom_site_fract_x
_atom_site_fract_y
_atom_site_fract_z
Co1 Co 0.000 0.000 0.000
Co2 Co 0.093 0.093 0.588
Co3 Co 0.093 0.588 0.093
Co4 Co 0.347 0.347 0.347
Co5 Co 0.412 0.907 0.907
Co6 Co 0.588 0.093 0.093
Co7 Co 0.653 0.653 0.653
Co8 Co 0.907 0.412 0.907
Co9 Co 0.907 0.907 0.412
Re1 Re 0.163 0.163 0.163
Re2 Re 0.449 0.449 0.449
Re3 Re 0.551 0.551 0.551
Re4 Re 0.837 0.837 0.837
```

Most intense lines, 2θ from 5° to 70°, most intense first:
2theta  d [Å]  Rel. int.
10.7  8.263  100.0
38.9  2.312  82.0
42.9  2.108  62.0
44.9  2.018  47.9
40.5  2.227  40.3
46.2  1.964  35.6
52.5  1.743  22.7
33.8  2.653  20.9
49.1  1.857  20.0
45.4  1.996  18.8

Starting from a cell relaxed with GGA-PBE, the X-ray diffraction stick pattern of HgAuNO was calculated for Cu Ka.
Intensities are scaled so that the largest is 100.

Structure:
```
data_HgAuNO
_chemical_formula_sum 'Hg2 Au2 N2 O2'
_symmetry_space_group_name_H-M 'P 1'
_symmetry_Int_Tables_number 1
_cell_length_a 4.310
_cell_length_b 4.310
_cell_length_c 6.494
_cell_angle_alpha 90.00
_cell_angle_beta 90.00
_cell_angle_gamma 90.00
loop_
_symmetry_equiv_pos_as_xyz
'x,y,z'
loop_
_atom_site_label
_atom_site_type_symbol
_atom_site_fract_x
_atom_site_fract_y
_atom_site_fract_z
Hg1 Hg 0.250 0.250 0.109
Hg2 Hg 0.750 0.750 0.891
Au1 Au 0.250 0.750 0.500
Au2 Au 0.750 0.250 0.500
N1 N 0.250 0.250 0.565
N2 N 0.750 0.750 0.435
O1 O 0.250 0.750 0.000
O2 O 0.750 0.250 0.000
```

Most intense lines, 2θ from 5° to 70°, most intense first:
2theta  d [Å]  Rel. int.
32.5  2.759  100.0
41.9  2.155  43.8
34.6  2.593  34.5
24.8  3.591  27.2
27.5  3.247  25.7
65.1  1.433  20.9
50.9  1.795  18.7
55.4  1.657  17.9
60.8  1.524  14.5
40.6  2.222  14.4

Starting from a cell relaxed with GGA-PBE, the X-ray diffraction stick pattern of KCd2Co2As3 was calculated for Cu Ka.
Intensities are scaled so that the largest is 100.

Structure:
```
data_KCd2Co2As3
_chemical_formula_sum 'K1 Cd2 Co2 As3'
_symmetry_space_group_name_H-M 'P 1'
_symmetry_Int_Tables_number 1
_cell_length_a 13.823
_cell_length_b 13.823
_cell_length_c 13.823
_cell_angle_alpha 15.74
_cell_angle_beta 15.74
_cell_angle_gamma 15.74
loop_
_symmetry_equiv_pos_as_xyz
'x,y,z'
loop_
_atom_site_label
_atom_site_type_symbol
_atom_site_fract_x
_atom_site_fract_y
_atom_site_fract_z
K1 K 0.000 0.000 0.000
Cd1 Cd 0.208 0.208 0.208
Cd2 Cd 0.792 0.792 0.792
Co1 Co 0.412 0.412 0.412
Co2 Co 0.588 0.588 0.588
As1 As 0.274 0.274 0.274
As2 As 0.500 0.500 0.500
As3 As 0.726 0.726 0.726
```

Most intense lines, 2θ from 5° to 70°, most intense first:
2theta  d [Å]  Rel. int.
6.5  13.649  100.0
35.1  2.560  73.1
48.1  1.893  70.7
28.6  3.123  62.9
41.4  2.183  45.3
39.7  2.272  36.3
29.3  3.044  28.7
27.5  3.238  25.2
59.4  1.556  17.5
32.8  2.730  17.5

Starting from a cell relaxed with GGA-PBE, the X-ray diffraction stick pattern of YTeAuO was calculated for Cu Ka.
Intensities are scaled so that the largest is 100.

Structure:
```
data_YTeAuO
_chemical_formula_sum 'Y2 Te2 Au2 O2'
_symmetry_space_group_name_H-M 'P 1'
_symmetry_Int_Tables_number 1
_cell_length_a 10.359
_cell_length_b 4.048
_cell_length_c 4.048
_cell_angle_alpha 89.87
_cell_angle_beta 90.00
_cell_angle_gamma 90.00
loop_
_symmetry_equiv_pos_as_xyz
'x,y,z'
loop_
_atom_site_label
_atom_site_type_symbol
_atom_site_fract_x
_atom_site_fract_y
_atom_site_fract_z
Y1 Y 0.103 0.250 0.750
Y2 Y 0.897 0.750 0.250
Te1 Te 0.278 0.751 0.251
Te2 Te 0.722 0.251 0.751
Au1 Au 0.500 0.001 0.001
Au2 Au 0.500 0.501 0.501
O1 O 0.000 0.250 0.250
O2 O 0.000 0.750 0.750
```

Most intense lines, 2θ from 5° to 70°, most intense first:
2theta  d [Å]  Rel. int.
8.5  10.359  100.0
31.2  2.866  56.4
32.5  2.758  52.4
35.9  2.504  50.7
34.1  2.627  41.6
45.7  1.987  35.3
28.0  3.190  33.0
48.3  1.885  32.6
41.0  2.204  27.5
54.7  1.679  23.5

Starting from a cell relaxed with GGA-PBE, the X-ray diffraction stick pattern of Dy3Y2Er2Ni2Te2 was calculated for Cu Ka.
Intensities are scaled so that the largest is 100.

Structure:
```
data_Dy3Y2Er2Ni2Te2
_chemical_formula_sum 'Dy3 Y2 Er2 Ni2 Te2'
_symmetry_space_group_name_H-M 'P 1'
_symmetry_Int_Tables_number 1
_cell_length_a 9.343
_cell_length_b 9.343
_cell_length_c 9.343
_cell_angle_alpha 156.26
_cell_angle_beta 66.95
_cell_angle_gamma 118.43
loop_
_symmetry_equiv_pos_as_xyz
'x,y,z'
loop_
_atom_site_label
_atom_site_type_symbol
_atom_site_fract_x
_atom_site_fract_y
_atom_site_fract_z
Dy1 Dy 0.000 0.000 0.000
Dy2 Dy 0.622 0.268 0.354
Dy3 Dy 0.915 0.268 0.646
Y1 Y 0.304 0.620 0.684
Y2 Y 0.935 0.620 0.316
Er1 Er 0.286 0.418 0.868
Er2 Er 0.550 0.418 0.132
Ni1 Ni 0.166 0.928 0.239
Ni2 Ni 0.689 0.928 0.761
Te1 Te 0.264 0.764 0.500
Te2 Te 0.664 0.664 0.000
```

Most intense lines, 2θ from 5° to 70°, most intense first:
2theta  d [Å]  Rel. int.
34.1  2.631  100.0
33.0  2.717  59.6
34.5  2.596  49.6
30.4  2.942  48.8
58.9  1.569  29.3
47.3  1.922  23.3
51.1  1.787  16.8
45.0  2.013  14.7
38.5  2.341  14.7
28.6  3.123  14.7

Starting from a cell relaxed with GGA-PBE, the X-ray diffraction stick pattern of Na5Pr4Ge4O16F was calculated for Cu Ka.
Intensities are scaled so that the largest is 100.

Structure:
```
data_Na5Pr4Ge4O16F
_chemical_formula_sum 'Na5 Pr4 Ge4 O16 F1'
_symmetry_space_group_name_H-M 'P 1'
_symmetry_Int_Tables_number 1
_cell_length_a 8.991
_cell_length_b 8.991
_cell_length_c 8.991
_cell_angle_alpha 95.70
_cell_angle_beta 95.70
_cell_angle_gamma 143.26
loop_
_symmetry_equiv_pos_as_xyz
'x,y,z'
loop_
_atom_site_label
_atom_site_type_symbol
_atom_site_fract_x
_atom_site_fract_y
_atom_site_fract_z
Na1 Na 0.000 0.000 0.000
Na2 Na 0.083 0.393 0.516
Na3 Na 0.432 0.917 0.310
Na4 Na 0.607 0.122 0.690
Na5 Na 0.878 0.568 0.484
Pr1 Pr 0.292 0.590 0.933
Pr2 Pr 0.410 0.343 0.702
Pr3 Pr 0.641 0.708 0.298
Pr4 Pr 0.657 0.359 0.067
Ge1 Ge 0.111 0.761 0.853
Ge2 Ge 0.239 0.093 0.350
Ge3 Ge 0.742 0.889 0.650
Ge4 Ge 0.907 0.258 0.147
O1 O 0.051 0.176 0.784
O2 O 0.062 0.564 0.713
O3 O 0.130 0.167 0.442
O4 O 0.244 0.500 0.185
O5 O 0.313 0.870 0.037
O6 O 0.315 0.059 0.815
O7 O 0.392 0.266 0.216
O8 O 0.436 0.149 0.498
O9 O 0.500 0.685 0.745
O10 O 0.651 0.938 0.502
O11 O 0.725 0.687 0.558
O12 O 0.734 0.949 0.126
O13 O 0.824 0.608 0.874
O14 O 0.833 0.275 0.963
O15 O 0.851 0.349 0.287
O16 O 0.941 0.756 0.255
F1 F 0.500 0.500 0.000
```

Most intense lines, 2θ from 5° to 70°, most intense first:
2theta  d [Å]  Rel. int.
31.0  2.882  100.0
34.5  2.600  81.8
22.8  3.908  74.3
31.6  2.833  61.4
46.5  1.954  48.3
48.6  1.872  46.5
10.4  8.533  45.1
27.2  3.280  43.0
17.3  5.130  42.1
14.7  6.034  41.1

Starting from a cell relaxed with GGA-PBE, the X-ray diffraction stick pattern of Mg3PtPb2 was calculated for Cu Ka.
Intensities are scaled so that the largest is 100.

Structure:
```
data_Mg3PtPb2
_chemical_formula_sum 'Mg3 Pt1 Pb2'
_symmetry_space_group_name_H-M 'P 1'
_symmetry_Int_Tables_number 1
_cell_length_a 4.762
_cell_length_b 4.762
_cell_length_c 6.710
_cell_angle_alpha 90.00
_cell_angle_beta 90.00
_cell_angle_gamma 90.00
loop_
_symmetry_equiv_pos_as_xyz
'x,y,z'
loop_
_atom_site_label
_atom_site_type_symbol
_atom_site_fract_x
_atom_site_fract_y
_atom_site_fract_z
Mg1 Mg 0.000 0.000 0.000
Mg2 Mg 0.000 0.000 0.500
Mg3 Mg 0.500 0.500 0.000
Pt1 Pt 0.500 0.500 0.500
Pb1 Pb 0.000 0.500 0.264
Pb2 Pb 0.500 0.000 0.736
```

Most intense lines, 2θ from 5° to 70°, most intense first:
2theta  d [Å]  Rel. int.
22.9  3.883  100.0
37.8  2.378  99.3
44.6  2.030  35.9
68.3  1.374  23.8
59.9  1.543  22.0
13.2  6.710  18.2
44.8  2.025  16.8
54.5  1.684  11.8
18.6  4.762  11.4
68.4  1.371  11.1

Starting from a cell relaxed with GGA-PBE, the X-ray diffraction stick pattern of Gd2DyGa3Cu2Ni was calculated for Cu Ka.
Intensities are scaled so that the largest is 100.

Structure:
```
data_Gd2DyGa3Cu2Ni
_chemical_formula_sum 'Gd2 Dy1 Ga3 Cu2 Ni1'
_symmetry_space_group_name_H-M 'P 1'
_symmetry_Int_Tables_number 1
_cell_length_a 4.004
_cell_length_b 6.991
_cell_length_c 6.991
_cell_angle_alpha 120.12
_cell_angle_beta 90.00
_cell_angle_gamma 90.00
loop_
_symmetry_equiv_pos_as_xyz
'x,y,z'
loop_
_atom_site_label
_atom_site_type_symbol
_atom_site_fract_x
_atom_site_fract_y
_atom_site_fract_z
Gd1 Gd 0.000 0.205 0.795
Gd2 Gd 0.000 0.795 0.205
Dy1 Dy 0.000 0.616 0.616
Ga1 Ga 0.500 0.207 0.441
Ga2 Ga 0.500 0.441 0.207
Ga3 Ga 0.500 0.970 0.970
Cu1 Cu 0.500 0.540 0.870
Cu2 Cu 0.500 0.870 0.540
Ni1 Ni 0.000 0.207 0.207
```

Most intense lines, 2θ from 5° to 70°, most intense first:
2theta  d [Å]  Rel. int.
34.1  2.632  100.0
37.2  2.414  80.8
39.4  2.287  43.7
45.3  2.002  24.9
61.6  1.506  23.1
59.7  1.548  19.0
44.9  2.017  17.6
25.5  3.494  14.6
29.5  3.025  14.2
45.7  1.986  12.0

Starting from a cell relaxed with GGA-PBE, the X-ray diffraction stick pattern of Sm2Dy2CBr3Cl2 was calculated for Cu Ka.
Intensities are scaled so that the largest is 100.

Structure:
```
data_Sm2Dy2CBr3Cl2
_chemical_formula_sum 'Sm2 Dy2 C1 Br3 Cl2'
_symmetry_space_group_name_H-M 'P 1'
_symmetry_Int_Tables_number 1
_cell_length_a 9.099
_cell_length_b 9.099
_cell_length_c 8.267
_cell_angle_alpha 103.20
_cell_angle_beta 103.20
_cell_angle_gamma 24.39
loop_
_symmetry_equiv_pos_as_xyz
'x,y,z'
loop_
_atom_site_label
_atom_site_type_symbol
_atom_site_fract_x
_atom_site_fract_y
_atom_site_fract_z
Sm1 Sm 0.000 0.000 0.205
Sm2 Sm 0.000 0.000 0.795
Dy1 Dy 0.361 0.361 0.925
Dy2 Dy 0.639 0.639 0.075
C1 C 0.500 0.500 0.000
Br1 Br 0.173 0.173 0.839
Br2 Br 0.500 0.500 0.500
Br3 Br 0.827 0.827 0.161
Cl1 Cl 0.163 0.163 0.314
Cl2 Cl 0.837 0.837 0.686
```

Most intense lines, 2θ from 5° to 70°, most intense first:
2theta  d [Å]  Rel. int.
31.8  2.815  100.0
11.0  8.038  92.6
45.0  2.014  49.8
31.0  2.882  40.5
10.2  8.647  38.1
34.7  2.583  22.6
53.5  1.714  19.9
31.4  2.848  19.8
34.9  2.571  19.6
47.3  1.922  18.2

Starting from a cell relaxed with GGA-PBE, the X-ray diffraction stick pattern of YNpI6 was calculated for Cu Ka.
Intensities are scaled so that the largest is 100.

Structure:
```
data_YNpI6
_chemical_formula_sum 'Y1 Np1 I6'
_symmetry_space_group_name_H-M 'P 1'
_symmetry_Int_Tables_number 1
_cell_length_a 7.745
_cell_length_b 7.745
_cell_length_c 7.719
_cell_angle_alpha 99.39
_cell_angle_beta 99.39
_cell_angle_gamma 120.07
loop_
_symmetry_equiv_pos_as_xyz
'x,y,z'
loop_
_atom_site_label
_atom_site_type_symbol
_atom_site_fract_x
_atom_site_fract_y
_atom_site_fract_z
Y1 Y 0.000 0.000 0.000
Np1 Np 0.668 0.332 0.000
I1 I 0.064 0.389 0.247
I2 I 0.249 0.235 0.758
I3 I 0.405 0.091 0.242
I4 I 0.611 0.936 0.753
I5 I 0.765 0.751 0.242
I6 I 0.909 0.595 0.758
```

Most intense lines, 2θ from 5° to 70°, most intense first:
2theta  d [Å]  Rel. int.
28.2  3.167  100.0
40.4  2.232  73.4
24.4  3.649  49.9
28.4  3.147  48.9
12.1  7.295  38.0
40.3  2.239  37.3
50.0  1.823  29.2
13.8  6.421  24.2
23.3  3.811  20.6
66.0  1.415  16.5

Starting from a cell relaxed with GGA-PBE, the X-ray diffraction stick pattern of RbCoSeS2 was calculated for Cu Ka.
Intensities are scaled so that the largest is 100.

Structure:
```
data_RbCoSeS2
_chemical_formula_sum 'Rb2 Co2 Se2 S4'
_symmetry_space_group_name_H-M 'P 1'
_symmetry_Int_Tables_number 1
_cell_length_a 6.158
_cell_length_b 7.110
_cell_length_c 7.443
_cell_angle_alpha 104.16
_cell_angle_beta 108.02
_cell_angle_gamma 109.60
loop_
_symmetry_equiv_pos_as_xyz
'x,y,z'
loop_
_atom_site_label
_atom_site_type_symbol
_atom_site_fract_x
_atom_site_fract_y
_atom_site_fract_z
Rb1 Rb 0.222 0.356 0.164
Rb2 Rb 0.778 0.644 0.836
Co1 Co 0.235 0.935 0.521
Co2 Co 0.765 0.065 0.479
Se1 Se 0.206 0.648 0.614
Se2 Se 0.794 0.352 0.386
S1 S 0.174 0.196 0.676
S2 S 0.351 0.921 0.272
S3 S 0.649 0.079 0.728
S4 S 0.826 0.804 0.324
```

Most intense lines, 2θ from 5° to 70°, most intense first:
2theta  d [Å]  Rel. int.
13.6  6.521  100.0
25.2  3.528  89.8
26.7  3.335  75.2
34.2  2.621  59.9
23.4  3.802  57.0
42.1  2.147  44.2
22.6  3.942  43.5
38.2  2.354  35.3
51.5  1.774  30.3
42.3  2.139  28.3

Starting from a cell relaxed with GGA-PBE, the X-ray diffraction stick pattern of ErNbCS was calculated for Cu Ka.
Intensities are scaled so that the largest is 100.

Structure:
```
data_ErNbCS
_chemical_formula_sum 'Er2 Nb2 C2 S2'
_symmetry_space_group_name_H-M 'P 1'
_symmetry_Int_Tables_number 1
_cell_length_a 3.419
_cell_length_b 3.419
_cell_length_c 12.292
_cell_angle_alpha 90.00
_cell_angle_beta 90.00
_cell_angle_gamma 120.00
loop_
_symmetry_equiv_pos_as_xyz
'x,y,z'
loop_
_atom_site_label
_atom_site_type_symbol
_atom_site_fract_x
_atom_site_fract_y
_atom_site_fract_z
Er1 Er 0.000 0.000 0.155
Er2 Er 0.000 0.000 0.845
Nb1 Nb 0.333 0.667 0.361
Nb2 Nb 0.333 0.667 0.639
C1 C 0.667 0.333 0.269
C2 C 0.667 0.333 0.731
S1 S 0.000 0.000 0.500
S2 S 0.333 0.667 0.000
```

Most intense lines, 2θ from 5° to 70°, most intense first:
2theta  d [Å]  Rel. int.
37.5  2.400  100.0
30.2  2.961  33.2
31.1  2.879  31.1
53.6  1.709  26.9
67.2  1.392  17.6
29.1  3.073  15.1
54.5  1.685  12.9
61.4  1.510  12.7
42.4  2.132  12.2
62.1  1.494  11.2